[1]
Starting from DFT lattice parameters and positions (PBE), the powder diffraction line list of AlAu3 was calculated for Cu Kα (λ = 1.5418 Å).
No peak broadening, texture or thermal motion is included.

Most intense lines, 10 to 90 degrees two-theta, in order of falling intensity:
| hkl | Position (°2θ) | d_spacing | I_rel |
| --- | --- | --- | --- |
| 2 0 1 | 40.50 | 2.227 | 100.0 |
| 1 0 1 | 25.76 | 3.459 | 27.5 |
| 0 0 2 | 37.85 | 2.377 | 26.9 |
| 2 0 0 | 35.61 | 2.521 | 23.6 |
| 2 0 3 | 70.14 | 1.342 | 23.6 |
| 2 2 2 | 76.78 | 1.241 | 21.0 |
| 2 2 0 | 63.96 | 1.456 | 17.4 |
| 4 0 1 | 78.49 | 1.219 | 16.6 |
| 2 0 2 | 52.94 | 1.730 | 15.4 |
| 1 1 0 | 30.71 | 2.911 | 10.4 |
| 1 0 0 | 17.59 | 5.043 | 6.2 |
| 2 1 1 | 51.67 | 1.769 | 5.8 |

Crystal structure
```
data_AlAu3
_chemical_formula_sum 'Al2 Au6'
_cell_length_a 5.8226
_cell_length_b 5.8226
_cell_length_c 4.7540
_cell_angle_alpha 90.00
_cell_angle_beta 90.00
_cell_angle_gamma 120.00
_symmetry_space_group_name_H-M 'P 63/m m c'
_symmetry_Int_Tables_number 194
_symmetry_space_group_name_Hall '-P 6c 2c'
loop_
_atom_site_label
_atom_site_fract_x
_atom_site_fract_y
_atom_site_fract_z
Al1 0.3333 0.6667 0.2500
Au1 0.1705 0.3409 0.7500
```

=====

[2]
Starting from DFT lattice parameters and positions (PBE), the powder diffraction line list of NaIrPb was calculated for Cu Kα (λ = 1.5418 Å).
No peak broadening, texture or thermal motion is included.

Most intense lines, 10 to 90 degrees two-theta, in order of falling intensity:
| hkl | Position (°2θ) | d_spacing | I_rel |
| --- | --- | --- | --- |
| 2 2 0 | 39.26 | 2.295 | 100.0 |
| 2 0 0 | 27.48 | 3.246 | 98.3 |
| 4 2 0 | 64.16 | 1.451 | 38.3 |
| 4 2 2 | 71.16 | 1.325 | 35.5 |
| 2 2 2 | 48.59 | 1.874 | 28.7 |
| 4 0 0 | 56.73 | 1.623 | 17.3 |
| 4 4 0 | 84.42 | 1.148 | 11.5 |
| 1 1 1 | 23.74 | 3.748 | 1.2 |
| 3 1 1 | 46.39 | 1.957 | 0.6 |

Crystal structure
```
data_NaIrPb
_chemical_formula_sum 'Na4 Ir4 Pb4'
_cell_length_a 6.491
_cell_length_b 6.491
_cell_length_c 6.491
_cell_angle_alpha 90.00
_cell_angle_beta 90.00
_cell_angle_gamma 90.00
_symmetry_space_group_name_H-M 'F -4 3 m'
_symmetry_Int_Tables_number 216
_symmetry_space_group_name_Hall 'F -4 2 3'
loop_
_atom_site_label
_atom_site_fract_x
_atom_site_fract_y
_atom_site_fract_z
Na1 0.000 0.000 0.000
Ir1 0.250 0.250 0.750
Pb1 0.250 0.250 0.250
```

=====

[3]
Starting from DFT lattice parameters and positions (PBE), the powder diffraction line list of MgIn was calculated for Cu Kα (λ = 1.5418 Å).
No peak broadening, texture or thermal motion is included.

Most intense lines, 10 to 90 degrees two-theta, in order of falling intensity:
| hkl | Position (°2θ) | d_spacing | I_rel |
| --- | --- | --- | --- |
| 1 1 -1 | 32.41 | 2.763 | 100.0 |
| 0 0 1 | 18.58 | 4.777 | 79.1 |
| 1 1 1 | 39.16 | 2.300 | 59.2 |
| 1 1 0 | 30.47 | 2.934 | 47.8 |
| 2 0 0 | 33.75 | 2.655 | 44.8 |
| 0 0 2 | 37.66 | 2.388 | 33.0 |
| 2 0 -2 | 40.46 | 2.229 | 26.9 |
| 3 1 -1 | 54.83 | 1.674 | 21.5 |
| 2 0 -1 | 31.98 | 2.799 | 21.1 |
| 1 1 -2 | 43.75 | 2.069 | 17.6 |
| 1 1 -3 | 60.24 | 1.536 | 16.0 |
| 2 2 0 | 63.41 | 1.467 | 13.6 |

Crystal structure
```
data_MgIn
_chemical_formula_sum 'Mg2 In2'
_cell_length_a 5.711
_cell_length_b 3.520
_cell_length_c 5.136
_cell_angle_alpha 90.00
_cell_angle_beta 111.57
_cell_angle_gamma 90.00
_symmetry_space_group_name_H-M 'C 1 2/m 1'
_symmetry_Int_Tables_number 12
loop_
_symmetry_equiv_pos_as_xyz
'x,y,z'
'-x,-y,-z'
'-x,y,-z'
'x,-y,z'
'x+1/2,y+1/2,z'
'-x+1/2,-y+1/2,-z'
'-x+1/2,y+1/2,-z'
'x+1/2,-y+1/2,z'
loop_
_atom_site_label
_atom_site_fract_x
_atom_site_fract_y
_atom_site_fract_z
Mg1 0.000 0.000 0.000
In1 0.000 0.500 0.500
```